This entry pairs a crystal structure of Th8GeIr3Se4 with its calculated powder X-ray diffraction pattern. Radiation: Cu Kα X-rays. Structure: DFT lattice parameters and positions (PBE).

Most intense lines, 2θ from 10° to 90°, by angle:
12.35 deg, d 7.166, I = 12
25.93 deg, d 3.436, I = 12
29.72 deg, d 3.006, I = 100
41.84 deg, d 2.159, I = 37
43.21 deg, d 2.094, I = 37
53.31 deg, d 1.719, I = 24
61.71 deg, d 1.503, I = 13
69.00 deg, d 1.361, I = 16
70.95 deg, d 1.328, I = 19
78.30 deg, d 1.221, I = 12

Structural model:
a = 8.645 Å, b = 8.645 Å, c = 8.645 Å
α = 57.95°, β = 57.95°, γ = 57.95°
Fractional coordinates of all 16 atoms:
Th: 0.234 0.747 0.747
Th: 0.239 0.239 0.239
Th: 0.253 0.253 0.766
Th: 0.253 0.766 0.253
Th: 0.747 0.234 0.747
Th: 0.747 0.747 0.234
Th: 0.761 0.761 0.761
Th: 0.766 0.253 0.253
Ge: 0.500 0.500 0.500
Ir: 0.000 0.000 0.500
Ir: 0.000 0.500 0.000
Ir: 0.500 0.000 0.000
Se: 0.000 0.000 0.000
Se: 0.000 0.500 0.500
Se: 0.500 0.000 0.500
Se: 0.500 0.500 0.000